Structure and simulated powder X-ray diffraction pattern of LiFeWClO4 (the PBE+U geometry in Alexandria; Cu Kα, 1.54184 Å).
Peak positions follow from Bragg's law for the DFT cell and can differ from measured ones.

Atomic structure:
```
data_LiFeWClO4
_cell_length_a 5.1311
_cell_length_b 7.0313
_cell_length_c 7.2318
_cell_angle_alpha 90.00
_cell_angle_beta 91.91
_cell_angle_gamma 90.00
_space_group_name_H-M_alt 'P 1 21/m 1'
_space_group_IT_number 11
_space_group_name_Hall '-P 2yb'
loop_
_atom_site_label
_atom_site_type_symbol
_atom_site_fract_x
_atom_site_fract_y
_atom_site_fract_z
Li1 Li 0.0000 0.0000 0.0000
Fe1 Fe 0.3158 0.2500 0.2503
W1 W 0.4986 0.7500 0.2372
Cl1 Cl 0.1910 0.7500 0.7796
O1 O 0.2460 0.2500 0.9334
O2 O 0.2938 0.5388 0.2072
O3 O 0.3492 0.2500 0.5368
```

Principal peaks in the range 10 to 90 degrees two-theta, low angle first:
- (1 0 0), 2θ = 17.3°, I 1000
- (0 1 1), 2θ = 17.6°, I 456
- (1 1 -1), 2θ = 24.5°, I 680
- (0 0 2), 2θ = 24.6°, I 758
- (1 1 1), 2θ = 25.1°, I 549
- (0 2 0), 2θ = 25.3°, I 740
- (1 2 0), 2θ = 30.8°, I 684
- (0 2 2), 2θ = 35.6°, I 401
- (2 1 -1), 2θ = 39.0°, I 369
- (2 1 1), 2θ = 39.8°, I 280